# CaAc2Rh2
Calculated powder X-ray diffraction pattern, Cu Ka. Input: a structure optimized by DFT (PBE).
Intensities are scaled so that the largest is 100.

Most intense lines, 2θ = 10–90°, in order of falling intensity:
2theta, d_spacing, I_rel
31.41, 2.848, 100
21.21, 4.189, 40
31.90, 2.805, 40
16.16, 5.486, 38
25.26, 3.526, 31
38.89, 2.316, 30
38.97, 2.311, 29
39.77, 2.266, 28

Crystal structure
a b c (Å): 5.9409 4.5327 11.1746
angles (deg): 90.00 100.95 90.00
Atoms (fractional coordinates):
Ca  0.0426  0.2500  0.2920
Ca  0.9574  0.7500  0.7080
Ac  0.2684  0.7500  0.0420
Ac  0.3829  0.2500  0.6169
Ac  0.6171  0.7500  0.3831
Ac  0.7316  0.2500  0.9580
Rh  0.1561  0.7500  0.4704
Rh  0.1882  0.2500  0.8674
Rh  0.8118  0.7500  0.1326
Rh  0.8439  0.2500  0.5296

# Pr3Er13
Calculated powder X-ray diffraction pattern, Cu Ka. Input: a structure optimized by DFT (PBE).
Intensities are scaled so that the largest is 100.

Most intense lines, 2θ = 10–90°, in order of falling intensity:
2theta, d_spacing, I_rel
32.66, 2.742, 100
28.45, 3.138, 24
31.73, 2.820, 24
60.77, 1.524, 23
57.11, 1.613, 20
43.13, 2.097, 16
50.41, 1.810, 13
61.29, 1.512, 11

Crystal structure
a b c (Å): 7.2562 8.4309 8.4309
angles (deg): 83.98 90.00 90.00
Atoms (fractional coordinates):
Pr  0.0000  0.0000  0.0000
Pr  0.2527  0.7458  0.7458
Pr  0.7473  0.7458  0.7458
Er  0.0000  0.4134  0.9170
Er  0.0000  0.4954  0.4954
Er  0.0000  0.9170  0.4134
Er  0.2503  0.2495  0.2495
Er  0.2514  0.1689  0.6617
Er  0.2514  0.6617  0.1689
Er  0.5000  0.0003  0.0003
Er  0.5000  0.4105  0.9197
Er  0.5000  0.4955  0.4955
Er  0.5000  0.9197  0.4105
Er  0.7486  0.1689  0.6617
Er  0.7486  0.6617  0.1689
Er  0.7497  0.2495  0.2495

# Ce2AgSe2N2
Calculated powder X-ray diffraction pattern, Cu Ka. Input: a structure optimized by DFT (PBE).
Intensities are scaled so that the largest is 100.

Most intense lines, 2θ = 10–90°, in order of falling intensity:
2theta, d_spacing, I_rel
27.32, 3.265, 100
46.32, 1.960, 40
30.31, 2.949, 40
40.31, 2.238, 39
61.26, 1.513, 26
37.80, 2.380, 19
34.78, 2.579, 18
54.62, 1.680, 14

Crystal structure
a b c (Å): 3.9199 3.9199 11.9010
angles (deg): 90.00 90.00 120.00
Atoms (fractional coordinates):
Ce  0.3333  0.6667  0.1212
Ce  0.6667  0.3333  0.8788
Ag  0.0000  0.0000  0.5000
Se  0.0000  0.0000  0.2933
Se  0.0000  0.0000  0.7067
N  0.3333  0.6667  0.9259
N  0.6667  0.3333  0.0741

# Ti7P4
Calculated powder X-ray diffraction pattern, Cu Ka. Input: a structure optimized by DFT (PBE).
Intensities are scaled so that the largest is 100.

Most intense lines, 2θ = 10–90°, in order of falling intensity:
2theta, d_spacing, I_rel
41.09, 2.197, 100
39.80, 2.265, 98
41.52, 2.175, 95
37.44, 2.402, 91
41.17, 2.192, 89
35.84, 2.505, 80
54.17, 1.693, 72
43.88, 2.063, 63

Crystal structure
a b c (Å): 7.5261 7.5261 13.6305
angles (deg): 104.29 104.29 26.00
Atoms (fractional coordinates):
Ti  0.0000  0.0000  0.0000
Ti  0.0035  0.0035  0.6630
Ti  0.1783  0.1783  0.5412
Ti  0.1964  0.1964  0.3076
Ti  0.2055  0.2055  0.7936
Ti  0.3395  0.3395  0.0315
Ti  0.4299  0.4299  0.8301
Ti  0.5000  0.5000  0.5000
Ti  0.5701  0.5701  0.1699
Ti  0.6605  0.6605  0.9685
Ti  0.7945  0.7945  0.2064
Ti  0.8036  0.8036  0.6924
Ti  0.8217  0.8217  0.4588
Ti  0.9965  0.9965  0.3370
P  0.0618  0.0618  0.8496
P  0.1778  0.1778  0.1099
P  0.3698  0.3698  0.3421
P  0.3725  0.3725  0.6038
P  0.6275  0.6275  0.3962
P  0.6302  0.6302  0.6579
P  0.8222  0.8222  0.8901
P  0.9382  0.9382  0.1504

# Li3La2Pd12Au
Calculated powder X-ray diffraction pattern, Cu Ka. Input: a structure optimized by DFT (PBE).
Intensities are scaled so that the largest is 100.

Most intense lines, 2θ = 10–90°, in order of falling intensity:
2theta, d_spacing, I_rel
34.48, 2.601, 100
41.08, 2.197, 95
29.23, 3.055, 44
38.37, 2.346, 44
20.21, 4.394, 43
57.07, 1.614, 33
49.87, 1.828, 30
84.29, 1.149, 23

Crystal structure
a b c (Å): 10.1844 10.1844 10.1844
angles (deg): 36.95 36.95 36.95
Atoms (fractional coordinates):
Li  0.0000  0.5000  0.5000
Li  0.5000  0.0000  0.5000
Li  0.5000  0.5000  0.0000
La  0.1328  0.1328  0.1328
La  0.8672  0.8672  0.8672
Pd  0.0635  0.6329  0.6329
Pd  0.0953  0.0953  0.6793
Pd  0.0953  0.6793  0.0953
Pd  0.3207  0.9047  0.9047
Pd  0.3671  0.3671  0.9365
Pd  0.3671  0.9365  0.3671
Pd  0.6329  0.0635  0.6329
Pd  0.6329  0.6329  0.0635
Pd  0.6793  0.0953  0.0953
Pd  0.9047  0.3207  0.9047
Pd  0.9047  0.9047  0.3207
Pd  0.9365  0.3671  0.3671
Au  0.5000  0.5000  0.5000

# Na2CuSn3
Calculated powder X-ray diffraction pattern, Cu Ka. Input: a structure optimized by DFT (PBE).
Intensities are scaled so that the largest is 100.

Most intense lines, 2θ = 10–90°, in order of falling intensity:
2theta, d_spacing, I_rel
12.29, 7.200, 100
34.78, 2.580, 71
34.10, 2.629, 59
43.14, 2.097, 47
23.11, 3.849, 34
38.09, 2.362, 33
25.63, 3.476, 33
27.70, 3.221, 31

Crystal structure
a b c (Å): 7.8874 7.8874 6.9517
angles (deg): 90.00 90.00 48.20
Atoms (fractional coordinates):
Na  0.1305  0.2465  0.0000
Na  0.2465  0.1305  0.5000
Na  0.7535  0.8695  0.0000
Na  0.8695  0.7535  0.5000
Cu  0.2978  0.7022  0.9197
Cu  0.7022  0.2978  0.4197
Sn  0.0530  0.9470  0.2369
Sn  0.3436  0.4346  0.2211
Sn  0.4346  0.3436  0.7211
Sn  0.5654  0.6564  0.2211
Sn  0.6564  0.5654  0.7211
Sn  0.9470  0.0530  0.7369

# Li5In2Ag2
Calculated powder X-ray diffraction pattern, Cu Ka. Input: a structure optimized by DFT (PBE).
Intensities are scaled so that the largest is 100.

Most intense lines, 2θ = 10–90°, in order of falling intensity:
2theta, d_spacing, I_rel
22.13, 4.017, 100
25.30, 3.521, 48
29.09, 3.070, 44
29.36, 3.042, 41
43.93, 2.061, 38
30.86, 2.898, 27
32.18, 2.781, 26
34.76, 2.581, 25

Crystal structure
a b c (Å): 8.6930 8.6930 6.5730
angles (deg): 90.00 90.00 44.93
Atoms (fractional coordinates):
Li  0.0000  0.0000  0.0000
Li  0.0500  0.6999  0.6766
Li  0.1999  0.5500  0.1766
Li  0.3001  0.9500  0.6766
Li  0.4500  0.8001  0.1766
Li  0.5000  0.5000  0.5000
Li  0.5500  0.1999  0.8234
Li  0.6999  0.0500  0.3234
Li  0.8001  0.4500  0.8234
Li  0.9500  0.3001  0.3234
In  0.2294  0.2294  0.0000
In  0.2706  0.2706  0.5000
In  0.7294  0.7294  0.5000
In  0.7706  0.7706  0.0000
Ag  0.1438  0.8562  0.3585
Ag  0.3562  0.6438  0.8585
Ag  0.6438  0.3562  0.1415
Ag  0.8562  0.1438  0.6415

# SrTlInAg2
Calculated powder X-ray diffraction pattern, Cu Ka. Input: a structure optimized by DFT (PBE).
Intensities are scaled so that the largest is 100.

Most intense lines, 2θ = 10–90°, in order of falling intensity:
2theta, d_spacing, I_rel
31.31, 2.857, 100
39.35, 2.290, 91
39.86, 2.261, 32
28.21, 3.163, 31
40.70, 2.217, 31
28.51, 3.131, 28
58.31, 1.583, 28
21.13, 4.205, 25

Crystal structure
a b c (Å): 7.3501 7.3501 7.3501
angles (deg): 144.89 144.16 51.04
Atoms (fractional coordinates):
Sr  0.0000  0.0000  0.0000
Tl  0.3826  0.3826  0.0000
In  0.2248  0.7248  0.5000
Ag  0.5967  0.5967  0.0000
Ag  0.7367  0.2367  0.5000

# Tm2HfSe5
Calculated powder X-ray diffraction pattern, Cu Ka. Input: a structure optimized by DFT (PBE).
Intensities are scaled so that the largest is 100.

Most intense lines, 2θ = 10–90°, in order of falling intensity:
2theta, d_spacing, I_rel
17.59, 5.041, 100
24.22, 3.675, 86
32.93, 2.720, 76
33.65, 2.664, 70
13.22, 6.696, 67
47.79, 1.903, 52
41.29, 2.187, 42
42.89, 2.109, 36

Crystal structure
a b c (Å): 7.2278 7.2278 13.1906
angles (deg): 90.00 90.00 135.78
Atoms (fractional coordinates):
Tm  0.1491  0.8509  0.5590
Tm  0.1491  0.8509  0.9410
Tm  0.8509  0.1491  0.0590
Tm  0.8509  0.1491  0.4410
Hf  0.1933  0.8067  0.2500
Hf  0.8067  0.1933  0.7500
Se  0.0475  0.9525  0.1226
Se  0.0475  0.9525  0.3774
Se  0.2615  0.7385  0.7500
Se  0.3159  0.6841  0.0821
Se  0.3159  0.6841  0.4179
Se  0.6841  0.3159  0.5821
Se  0.6841  0.3159  0.9179
Se  0.7385  0.2615  0.2500
Se  0.9525  0.0475  0.6226
Se  0.9525  0.0475  0.8774

# ThZn3Pt
Calculated powder X-ray diffraction pattern, Cu Ka. Input: a structure optimized by DFT (PBE).
Intensities are scaled so that the largest is 100.

Most intense lines, 2θ = 10–90°, in order of falling intensity:
2theta, d_spacing, I_rel
34.39, 2.608, 100
38.95, 2.312, 42
34.09, 2.630, 40
42.23, 2.140, 36
29.57, 3.021, 27
26.74, 3.334, 20
59.48, 1.554, 19
22.41, 3.967, 18

Crystal structure
a b c (Å): 8.5307 4.2804 10.6912
angles (deg): 90.00 90.00 90.00
Atoms (fractional coordinates):
Th  0.1989  0.2500  0.0020
Th  0.3011  0.7500  0.5020
Th  0.6989  0.2500  0.4980
Th  0.8011  0.7500  0.9980
Zn  0.0694  0.2500  0.3895
Zn  0.0988  0.7500  0.2134
Zn  0.1344  0.7500  0.7934
Zn  0.3656  0.2500  0.2934
Zn  0.4012  0.2500  0.7134
Zn  0.4306  0.7500  0.8895
Zn  0.5694  0.2500  0.1105
Zn  0.5988  0.7500  0.2866
Zn  0.6344  0.7500  0.7066
Zn  0.8656  0.2500  0.2066
Zn  0.9012  0.2500  0.7866
Zn  0.9306  0.7500  0.6105
Pt  0.1224  0.2500  0.6316
Pt  0.3776  0.7500  0.1316
Pt  0.6224  0.2500  0.8684
Pt  0.8776  0.7500  0.3684

# Mn2MoAu
Calculated powder X-ray diffraction pattern, Cu Ka. Input: a structure optimized by DFT (PBE).
Intensities are scaled so that the largest is 100.

Most intense lines, 2θ = 10–90°, in order of falling intensity:
2theta, d_spacing, I_rel
41.28, 2.187, 100
40.18, 2.244, 55
73.77, 1.284, 35
28.12, 3.174, 28
58.13, 1.587, 18
76.00, 1.252, 16
31.86, 2.809, 15
14.68, 6.036, 13

Crystal structure
a b c (Å): 3.1737 3.1737 6.0359
angles (deg): 90.00 90.00 90.00
Atoms (fractional coordinates):
Mn  0.0000  0.0000  0.2345
Mn  0.0000  0.0000  0.7655
Mo  0.5000  0.5000  0.0000
Au  0.5000  0.5000  0.5000

# BaS6Cl2
Calculated powder X-ray diffraction pattern, Cu Ka. Input: a structure optimized by DFT (PBE).
Intensities are scaled so that the largest is 100.

Most intense lines, 2θ = 10–90°, in order of falling intensity:
2theta, d_spacing, I_rel
30.65, 2.917, 100
13.65, 6.488, 76
17.37, 5.105, 69
27.08, 3.292, 59
19.27, 4.605, 55
23.70, 3.755, 52
28.65, 3.116, 29
11.03, 8.024, 27

Crystal structure
a b c (Å): 4.6728 8.2929 8.3122
angles (deg): 102.79 96.14 96.03
Atoms (fractional coordinates):
Ba  0.0000  0.0000  0.0000
S  0.0698  0.2846  0.5370
S  0.0706  0.5372  0.2855
S  0.1516  0.6835  0.6834
S  0.8484  0.3165  0.3166
S  0.9294  0.4628  0.7145
S  0.9302  0.7154  0.4630
Cl  0.4994  0.1486  0.8510
Cl  0.5006  0.8514  0.1490

# Er2Ga2Ge3
Calculated powder X-ray diffraction pattern, Cu Ka. Input: a structure optimized by DFT (PBE).
Intensities are scaled so that the largest is 100.

Most intense lines, 2θ = 10–90°, in order of falling intensity:
2theta, d_spacing, I_rel
29.87, 2.991, 100
36.80, 2.442, 94
42.76, 2.115, 53
74.38, 1.275, 47
33.50, 2.675, 40
39.87, 2.261, 37
62.06, 1.495, 34
48.10, 1.892, 32

Crystal structure
a b c (Å): 7.3262 7.3262 7.3262
angles (deg): 109.47 109.47 109.47
Atoms (fractional coordinates):
Er  0.0000  0.0189  0.5000
Er  0.0189  0.5000  0.0000
Er  0.4811  0.4811  0.4811
Er  0.5000  0.0000  0.0189
Ga  0.0000  0.6280  0.5000
Ga  0.5000  0.0000  0.6280
Ga  0.6280  0.5000  0.0000
Ga  0.8720  0.8720  0.8720
Ge  0.2391  0.9891  0.2500
Ge  0.2500  0.2391  0.9891
Ge  0.2609  0.5109  0.7500
Ge  0.5109  0.7500  0.2609
Ge  0.7500  0.2609  0.5109
Ge  0.9891  0.2500  0.2391